For AgSbN2, a structure optimized by DFT (PBE) gives the calculated powder X-ray diffraction pattern in this record (Cu Kα).
Peak positions follow from Bragg's law for the DFT cell and can differ from measured ones.

Cell and atoms:
```
12
Lattice="3.231 0.000 0.000 -1.616 2.798 0.000 0.000 0.000 19.270" Properties=species:S:1:pos:R:3 pbc="T T T"
Ag 0.000 0.000 0.000
Ag 0.000 1.866 12.847
Ag 1.616 0.933 6.423
Sb 0.000 0.000 9.635
Sb 0.000 1.866 3.212
Sb 1.616 0.933 16.058
N 0.000 0.000 2.125
N 0.000 0.000 17.145
N 0.000 1.866 10.722
N 0.000 1.866 14.971
N 1.616 0.933 4.298
N 1.616 0.933 8.548
```

Top 12 peaks for 2θ from 10° to 90°, by angle:
- 3.212 Å, intensity 45, hkl 0 0 6
- 2.687 Å, intensity 100, hkl 0 1 2
- 2.420 Å, intensity 57, hkl 1 0 4
- 1.826 Å, intensity 34, hkl 0 1 8
- 1.616 Å, intensity 24, hkl 1 1 0
- 1.587 Å, intensity 21, hkl 1 0 10
- 1.443 Å, intensity 24, hkl 1 1 6
- 1.385 Å, intensity 12, hkl 2 0 2
- 1.344 Å, intensity 9, hkl 0 2 4
- 1.210 Å, intensity 8, hkl 2 0 8
- 1.139 Å, intensity 12, hkl 1 1 12
- 1.132 Å, intensity 7, hkl 0 2 10


For Li10SnP2S12, a structure optimized by DFT (PBE) gives the calculated powder X-ray diffraction pattern in this record (Cu Kα).
Peak positions follow from Bragg's law for the DFT cell and can differ from measured ones.

Cell and atoms:
```
50
Lattice="8.665 0.000 0.000 -0.012 8.950 0.000 -0.140 -0.459 13.133" Properties=species:S:1:pos:R:3 pbc="T T T"
Li 0.000 0.000 0.000
Li -0.121 4.350 11.637
Li 0.038 8.693 3.711
Li 0.099 4.354 1.556
Li 0.032 4.484 8.389
Li 0.166 0.176 10.386
Li 1.948 2.399 5.044
Li 2.203 6.570 9.001
Li 2.399 6.512 2.372
Li 4.316 0.048 6.446
Li 4.309 -0.049 10.036
Li 4.300 4.241 12.036
Li 4.394 4.485 8.426
Li 4.383 8.423 12.942
Li 4.585 4.328 4.223
Li 4.751 8.727 3.396
Li 6.343 2.570 0.802
Li 6.490 2.330 7.660
Li 8.462 5.098 5.073
Li 8.500 0.030 7.262
Sn 2.355 6.618 5.889
Sn 6.520 1.977 10.724
P 2.092 6.567 12.396
P 2.181 2.294 8.223
P 6.585 6.543 1.772
P 6.698 2.143 4.169
S 0.277 6.562 7.140
S 0.423 6.806 11.204
S 0.501 2.471 7.028
S 2.196 5.143 0.099
S 2.128 0.438 9.089
S 2.203 4.799 4.304
S 2.189 3.844 9.574
S 2.280 8.472 0.723
S 2.443 8.673 4.581
S 3.847 2.467 7.014
S 3.805 6.667 11.233
S 4.210 6.677 7.392
S 4.508 1.710 11.993
S 4.917 6.334 2.927
S 5.052 2.260 2.932
S 6.549 8.445 1.009
S 6.546 3.694 5.519
S 6.574 4.107 9.599
S 6.641 0.319 5.161
S 6.703 5.067 0.318
S 6.640 0.203 9.084
S 8.314 6.347 2.902
S 8.455 2.209 3.087
S 8.390 1.816 12.233
```

Top 12 peaks for 2θ from 10° to 90°, by angle:
- 7.272 Å, intensity 47, hkl 0 1 1
- 6.224 Å, intensity 100, hkl 1 -1 0
- 5.207 Å, intensity 34, hkl 1 0 2
- 4.589 Å, intensity 32, hkl 1 1 -2
- 4.476 Å, intensity 61, hkl 0 2 0
- 4.332 Å, intensity 34, hkl 2 0 0
- 3.755 Å, intensity 32, hkl 2 1 -1
- 3.184 Å, intensity 34, hkl 0 2 -3
- 3.096 Å, intensity 45, hkl 2 0 -3
- 3.075 Å, intensity 53, hkl 0 2 3
- 3.063 Å, intensity 45, hkl 2 0 3
- 2.166 Å, intensity 35, hkl 4 0 0


For La2CCl, a structure optimized by DFT (PBE) gives the calculated powder X-ray diffraction pattern in this record (Cu Kα).
Peak positions follow from Bragg's law for the DFT cell and can differ from measured ones.

Cell and atoms:
```
12
Lattice="3.861 0.000 0.000 -1.930 3.344 0.000 0.000 0.000 22.075" Properties=species:S:1:pos:R:3 pbc="T T T"
La 0.000 0.000 5.101
La 0.000 0.000 16.973
La 0.000 2.229 9.615
La 0.000 2.229 19.818
La 1.930 1.115 2.257
La 1.930 1.115 12.459
C 0.000 0.000 11.037
C 0.000 2.229 3.679
C 1.930 1.115 18.396
Cl 0.000 0.000 0.000
Cl 0.000 2.229 14.716
Cl 1.930 1.115 7.358
```

Top 12 peaks for 2θ from 10° to 90°, by angle:
- 7.358 Å, intensity 18, hkl 0 0 3
- 3.679 Å, intensity 19, hkl 0 0 6
- 3.200 Å, intensity 75, hkl 0 1 2
- 2.860 Å, intensity 100, hkl 1 0 4
- 2.665 Å, intensity 31, hkl 0 1 5
- 2.453 Å, intensity 18, hkl 0 0 9
- 2.294 Å, intensity 20, hkl 1 0 7
- 2.128 Å, intensity 21, hkl 0 1 8
- 1.930 Å, intensity 38, hkl 1 1 0
- 1.600 Å, intensity 17, hkl 0 2 4
- 1.517 Å, intensity 24, hkl 1 1 9
- 1.514 Å, intensity 15, hkl 1 0 13


For Nd3IrO7, a structure optimized by DFT (PBE) gives the calculated powder X-ray diffraction pattern in this record (Cu Kα).
Peak positions follow from Bragg's law for the DFT cell and can differ from measured ones.

Cell and atoms:
```
44
Lattice="6.629 0.000 0.000 0.000 7.605 0.000 -4.761 0.000 12.446" Properties=species:S:1:pos:R:3 pbc="T T T"
Nd -1.206 0.012 3.240
Nd -3.587 3.791 9.464
Nd -1.915 5.700 6.371
Nd 0.466 5.708 0.147
Nd 2.151 1.853 2.610
Nd -0.230 1.949 8.833
Nd 2.098 5.656 3.614
Nd -0.282 5.752 9.837
Nd 1.403 1.897 12.299
Nd 3.783 1.906 6.076
Nd 5.455 3.815 2.983
Nd 3.074 7.593 9.206
Ir 3.315 0.000 0.000
Ir 0.934 0.000 6.223
Ir 3.315 3.803 0.000
Ir 0.934 3.803 6.223
O -0.113 1.831 2.134
O -2.493 1.972 8.357
O -2.273 5.619 8.651
O 0.108 5.790 2.427
O -1.018 0.273 5.759
O -3.399 3.530 11.982
O -3.347 0.335 12.295
O -0.967 3.468 6.072
O 0.532 5.695 5.683
O -1.848 5.713 11.906
O -1.257 0.285 10.451
O 1.124 3.518 4.228
O 1.352 0.284 4.326
O -1.028 3.519 10.549
O 2.897 4.087 1.897
O 0.516 7.321 8.120
O 0.744 4.087 8.218
O 3.125 7.321 1.995
O 3.717 1.892 0.540
O 1.336 1.910 6.763
O 2.835 4.137 6.374
O 5.216 7.271 0.151
O 5.267 4.076 0.464
O 2.886 7.332 6.687
O 1.761 1.816 10.019
O 4.141 1.987 3.796
O 4.362 5.633 4.089
O 1.981 5.775 10.312
```

Top 12 peaks for 2θ from 10° to 90°, by angle:
- 3.376 Å, intensity 10, hkl 1 1 2
- 3.123 Å, intensity 100, hkl 1 2 -2
- 3.112 Å, intensity 43, hkl 0 0 4
- 3.096 Å, intensity 43, hkl 2 0 0
- 2.737 Å, intensity 22, hkl 2 0 -4
- 2.676 Å, intensity 44, hkl 1 2 2
- 1.917 Å, intensity 22, hkl 1 2 -6
- 1.910 Å, intensity 23, hkl 3 2 -2
- 1.901 Å, intensity 17, hkl 0 4 0
- 1.646 Å, intensity 14, hkl 3 2 -6
- 1.621 Å, intensity 27, hkl 2 4 0
- 1.562 Å, intensity 10, hkl 2 4 -4


For NaMg2H3S2O8, a structure optimized by DFT (PBE) gives the calculated powder X-ray diffraction pattern in this record (Cu Kα).
Peak positions follow from Bragg's law for the DFT cell and can differ from measured ones.

Cell and atoms:
```
32
Lattice="6.395 0.000 0.000 -3.170 7.266 0.000 -3.187 -2.689 7.996" Properties=species:S:1:pos:R:3 pbc="T T T"
Na -1.572 0.140 3.247
Na 1.610 4.437 4.750
Mg 0.000 0.000 0.000
Mg -1.569 5.168 2.501
Mg 3.198 0.000 0.000
Mg 1.607 -0.591 5.496
H -3.977 1.988 6.177
H -1.567 5.209 0.035
H -0.782 2.591 1.810
H 0.819 1.986 6.186
H 1.605 -0.632 7.962
H 4.014 2.589 1.820
S -1.600 -0.289 6.336
S -1.570 3.337 5.299
S 1.608 1.240 2.698
S 1.637 4.866 1.660
O -3.591 4.939 2.658
O -1.583 3.173 1.716
O -1.571 6.016 0.588
O -1.589 -1.731 6.975
O 0.361 1.203 1.771
O -2.820 3.378 6.219
O -0.410 -0.325 5.366
O -1.564 4.728 4.612
O 1.601 -0.151 3.384
O 0.448 4.902 2.630
O 2.858 1.199 1.777
O -0.323 3.374 6.225
O 1.627 6.308 1.021
O 1.608 -1.438 7.408
O 1.621 1.404 6.280
O 3.629 -0.361 5.338
```

Top 12 peaks for 2θ from 10° to 90°, by angle:
- 6.887 Å, intensity 100, hkl 0 1 0
- 3.998 Å, intensity 37, hkl 0 0 2
- 3.860 Å, intensity 23, hkl 1 -2 0
- 3.686 Å, intensity 19, hkl -1 1 2
- 3.444 Å, intensity 49, hkl 0 2 0
- 3.198 Å, intensity 43, hkl -2 1 1
- 3.153 Å, intensity 24, hkl 0 2 -2
- 3.060 Å, intensity 25, hkl 0 1 2
- 2.851 Å, intensity 44, hkl 0 2 1
- 2.815 Å, intensity 31, hkl 1 1 -3
- 2.513 Å, intensity 34, hkl 2 0 -3
- 1.599 Å, intensity 19, hkl -4 2 2


For P2SeO3, a structure optimized by DFT (PBE) gives the calculated powder X-ray diffraction pattern in this record (Cu Kα).
Peak positions follow from Bragg's law for the DFT cell and can differ from measured ones.

Cell and atoms:
```
48
Lattice="11.944 0.000 0.000 0.000 6.833 0.000 -0.073 0.000 12.366" Properties=species:S:1:pos:R:3 pbc="T T T"
P 1.567 1.682 0.934
P 1.531 1.734 7.117
P 2.452 0.227 10.940
P 2.488 3.189 4.757
P 3.804 3.499 7.365
P 3.841 6.750 1.182
P 4.100 0.962 5.925
P 4.064 2.454 12.108
P 7.807 4.379 0.258
P 7.771 5.870 6.441
P 8.030 0.083 11.183
P 8.067 3.333 5.001
P 9.383 3.643 7.609
P 9.419 6.605 1.426
P 10.340 5.098 5.249
P 10.304 5.151 11.432
Se -0.003 4.458 10.419
Se 0.033 5.791 4.236
Se 4.762 4.811 8.624
Se 4.798 5.438 2.442
Se 7.073 1.394 9.924
Se 7.109 2.022 3.741
Se 11.838 1.041 8.130
Se 11.874 2.375 1.947
O 1.242 0.898 11.909
O 1.278 2.519 5.726
O 2.466 0.585 1.778
O 2.430 2.831 7.961
O 2.648 0.630 6.722
O 2.685 2.786 0.539
O 3.303 4.088 5.946
O 3.267 6.160 12.129
O 3.476 1.535 10.863
O 3.513 1.881 4.680
O 4.700 1.224 0.760
O 4.664 2.192 6.943
O 7.207 4.640 5.422
O 7.171 5.608 11.605
O 8.359 4.951 7.686
O 8.395 5.298 1.503
O 8.604 0.672 0.237
O 8.568 2.744 6.420
O 9.187 4.047 11.826
O 9.223 6.202 5.643
O 9.441 4.001 4.405
O 9.405 6.248 10.588
O 10.593 4.314 6.640
O 10.630 5.935 0.457
```

Top 12 peaks for 2θ from 10° to 90°, by angle:
- 5.931 Å, intensity 13, hkl 1 1 0
- 4.496 Å, intensity 18, hkl 2 1 0
- 4.308 Å, intensity 29, hkl 2 0 -2
- 4.274 Å, intensity 100, hkl 1 1 2
- 4.231 Å, intensity 26, hkl 2 1 -1
- 3.981 Å, intensity 14, hkl 3 0 0
- 3.644 Å, intensity 18, hkl 2 1 -2
- 3.293 Å, intensity 14, hkl 0 2 1
- 3.032 Å, intensity 15, hkl 2 1 3
- 2.998 Å, intensity 20, hkl 3 1 2
- 2.885 Å, intensity 16, hkl 2 2 -1
- 2.738 Å, intensity 17, hkl 1 1 4